For Mg3Si4, a crystal structure in the Materials Project, relaxed with GGA-PBE gives the simulated XRD peak list in this record (Cu Kα).
Neutral-atom scattering factors, no anomalous dispersion.

Largest 10 diffraction maxima, sorted by position, 10 to 90 degrees two-theta:
- 2θ = 35.9°, I = 30
- 2θ = 36.3°, I = 45
- 2θ = 36.5°, I = 36
- 2θ = 37.0°, I = 17
- 2θ = 37.3°, I = 32
- 2θ = 37.9°, I = 100
- 2θ = 38.3°, I = 24
- 2θ = 39.1°, I = 69
- 2θ = 39.8°, I = 37
- 2θ = 41.0°, I = 44

Atomic structure:
Cell: 5.395 7.416 7.447 Å, 110.59 107.49 100.99°
Fractional positions:
Mg 0.000 0.000 0.000
Mg 0.006 0.140 0.435
Mg 0.292 0.764 0.597
Mg 0.303 0.501 0.169
Mg 0.771 0.228 0.765
Mg 0.837 0.687 0.137
Si 0.332 0.171 0.863
Si 0.345 0.482 0.785
Si 0.416 0.977 0.344
Si 0.516 0.945 0.044
Si 0.532 0.377 0.471
Si 0.761 0.329 0.192
Si 0.769 0.811 0.540
Si 0.959 0.605 0.764

For Mg2Si3, a crystal structure in the Materials Project, relaxed with GGA-PBE gives the simulated XRD peak list in this record (Cu Kα).
Neutral-atom scattering factors, no anomalous dispersion.

Largest 10 diffraction maxima, sorted by position, 10 to 90 degrees two-theta:
- 2θ = 31.1°, I = 42
- 2θ = 32.7°, I = 34
- 2θ = 34.2°, I = 59
- 2θ = 34.9°, I = 43
- 2θ = 35.5°, I = 75
- 2θ = 37.5°, I = 100
- 2θ = 37.8°, I = 29
- 2θ = 46.2°, I = 37
- 2θ = 46.4°, I = 27
- 2θ = 51.3°, I = 54

Atomic structure:
Cell: 3.559 6.183 18.244 Å, 83.76 84.44 73.28°
Fractional positions:
Mg 0.000 0.000 0.000
Mg 0.001 0.167 0.822
Mg 0.299 0.928 0.478
Mg 0.394 0.501 0.711
Mg 0.435 0.716 0.330
Mg 0.579 0.270 0.567
Mg 0.727 0.525 0.014
Mg 0.805 0.144 0.194
Si 0.080 0.489 0.251
Si 0.133 0.598 0.125
Si 0.208 0.702 0.889
Si 0.226 0.917 0.627
Si 0.267 0.162 0.332
Si 0.379 0.305 0.925
Si 0.500 0.872 0.117
Si 0.623 0.040 0.711
Si 0.654 0.285 0.419
Si 0.744 0.714 0.802
Si 0.881 0.643 0.586
Si 0.995 0.552 0.457

For Mg4Si7, a crystal structure in the Materials Project, relaxed with GGA-PBE gives the simulated XRD peak list in this record (Cu Kα).
Neutral-atom scattering factors, no anomalous dispersion.

Largest 10 diffraction maxima, sorted by position, 10 to 90 degrees two-theta:
- 2θ = 33.3°, I = 52
- 2θ = 33.9°, I = 36
- 2θ = 35.3°, I = 78
- 2θ = 38.0°, I = 30
- 2θ = 38.2°, I = 43
- 2θ = 38.4°, I = 86
- 2θ = 39.3°, I = 64
- 2θ = 42.4°, I = 100
- 2θ = 50.4°, I = 30
- 2θ = 58.4°, I = 24

Atomic structure:
Cell: 6.543 4.268 14.305 Å, 90.00 101.52 90.00°
Fractional positions:
Mg 0.000 0.000 0.000
Mg 0.026 0.500 0.708
Mg 0.253 0.000 0.216
Mg 0.375 0.500 0.554
Mg 0.550 0.000 0.047
Mg 0.773 0.000 0.287
Mg 0.851 0.500 0.479
Mg 0.897 0.500 0.136
Si 0.074 0.000 0.583
Si 0.089 0.500 0.333
Si 0.161 0.000 0.428
Si 0.197 0.000 0.839
Si 0.251 0.500 0.070
Si 0.339 0.500 0.915
Si 0.385 0.000 0.708
Si 0.464 0.500 0.348
Si 0.544 0.000 0.436
Si 0.546 0.500 0.195
Si 0.617 0.500 0.738
Si 0.701 0.000 0.608
Si 0.717 0.500 0.926
Si 0.791 0.000 0.816

For Mg3Si4, a crystal structure in the Materials Project, relaxed with GGA-PBE gives the simulated XRD peak list in this record (Cu Kα).
Neutral-atom scattering factors, no anomalous dispersion.

Largest 10 diffraction maxima, sorted by position, 10 to 90 degrees two-theta:
- 2θ = 33.9°, I = 75
- 2θ = 35.0°, I = 82
- 2θ = 36.0°, I = 70
- 2θ = 36.3°, I = 93
- 2θ = 37.4°, I = 71
- 2θ = 37.8°, I = 100
- 2θ = 37.9°, I = 73
- 2θ = 38.7°, I = 86
- 2θ = 40.7°, I = 70
- 2θ = 41.0°, I = 93

Atomic structure:
Cell: 5.228 7.347 7.473 Å, 114.12 99.11 98.57°
Fractional positions:
Mg 0.000 0.000 0.000
Mg 0.010 0.565 0.658
Mg 0.312 0.396 0.944
Mg 0.353 0.206 0.494
Mg 0.519 0.759 0.470
Mg 0.917 0.665 0.167
Si 0.079 0.938 0.607
Si 0.141 0.393 0.282
Si 0.406 0.825 0.117
Si 0.470 0.001 0.876
Si 0.568 0.662 0.813
Si 0.614 0.336 0.232
Si 0.797 0.107 0.359
Si 0.813 0.198 0.723

For Mg5Si6, a crystal structure in the Materials Project, relaxed with GGA-PBE gives the simulated XRD peak list in this record (Cu Kα).
Neutral-atom scattering factors, no anomalous dispersion.

Largest 10 diffraction maxima, sorted by position, 10 to 90 degrees two-theta:
- 2θ = 11.8°, I = 32
- 2θ = 36.1°, I = 43
- 2θ = 36.3°, I = 32
- 2θ = 36.8°, I = 88
- 2θ = 36.9°, I = 93
- 2θ = 38.3°, I = 90
- 2θ = 38.6°, I = 21
- 2θ = 40.5°, I = 100
- 2θ = 41.5°, I = 49
- 2θ = 42.8°, I = 20

Atomic structure:
Cell: 4.457 15.274 15.274 Å, 157.50 90.00 90.00°
Fractional positions:
Mg 0.250 0.054 0.946
Mg 0.250 0.271 0.964
Mg 0.250 0.574 0.432
Mg 0.250 0.639 0.882
Mg 0.250 0.823 0.433
Mg 0.750 0.432 0.574
Mg 0.750 0.433 0.823
Mg 0.750 0.882 0.639
Mg 0.750 0.946 0.054
Mg 0.750 0.964 0.271
Si 0.250 0.147 0.349
Si 0.250 0.171 0.542
Si 0.250 0.283 0.319
Si 0.250 0.319 0.827
Si 0.250 0.697 0.742
Si 0.250 0.739 0.168
Si 0.750 0.168 0.739
Si 0.750 0.319 0.283
Si 0.750 0.349 0.147
Si 0.750 0.542 0.171
Si 0.750 0.742 0.697
Si 0.750 0.827 0.319

For Mg5Si6, a crystal structure in the Materials Project, relaxed with GGA-PBE gives the simulated XRD peak list in this record (Cu Kα).
Neutral-atom scattering factors, no anomalous dispersion.

Largest 10 diffraction maxima, sorted by position, 10 to 90 degrees two-theta:
- 2θ = 34.6°, I = 64
- 2θ = 34.9°, I = 21
- 2θ = 35.0°, I = 60
- 2θ = 35.6°, I = 25
- 2θ = 36.0°, I = 24
- 2θ = 36.1°, I = 29
- 2θ = 36.3°, I = 100
- 2θ = 41.7°, I = 24
- 2θ = 42.3°, I = 27
- 2θ = 45.1°, I = 76

Atomic structure:
Cell: 4.021 6.733 15.361 Å, 80.29 83.13 89.82°
Fractional positions:
Mg 0.000 0.000 0.000
Mg 0.033 0.565 0.932
Mg 0.180 0.559 0.630
Mg 0.247 0.203 0.501
Mg 0.288 0.726 0.416
Mg 0.459 0.667 0.085
Mg 0.615 0.639 0.769
Mg 0.711 0.873 0.565
Mg 0.887 0.799 0.234
Mg 0.926 0.326 0.153
Si 0.103 0.295 0.785
Si 0.148 0.985 0.688
Si 0.356 0.111 0.283
Si 0.366 0.482 0.270
Si 0.438 0.029 0.136
Si 0.500 0.312 0.017
Si 0.539 0.839 0.909
Si 0.564 0.199 0.872
Si 0.659 0.215 0.651
Si 0.732 0.487 0.520
Si 0.808 0.044 0.382
Si 0.817 0.416 0.369

- What is the formula in the fourth record?
  Mg3Si4